No. 1
Diffraction record for BeP2OF. The XRD peak list is calculated, not measured: it uses a GGA-PBE-relaxed structure and Cu Kα (weighted mean of Kα1 and Kα2).

```
BeP2OF
1.0
4.7802 0.0000 0.0000
0.0000 4.7802 0.0000
0.0000 0.0000 2.8746
Be P O F
1 2 1 1
direct
0.0000 0.0000 0.0000 Be
0.0000 0.5000 0.0000 P
0.5000 0.0000 0.0000 P
0.0000 0.0000 0.5000 O
0.5000 0.5000 0.5000 F
```

Main lines, in order of rising 2θ (10° ≤ 2θ ≤ 90°):
2θ 26.37, I = 7.3; 2θ 31.11, I = 6.7; 2θ 37.63, I = 86.0; 2θ 41.23, I = 100.0; 2θ 49.60, I = 7.5; 2θ 54.28, I = 25.5; 2θ 63.90, I = 4.2; 2θ 64.87, I = 7.0; 2θ 70.37, I = 32.9; 2θ 77.49, I = 16.3; 2θ 80.35, I = 7.4; 2θ 89.51, I = 11.5

=====

No. 2
Diffraction record for BePF. The XRD peak list is calculated, not measured: it uses a GGA-PBE-relaxed structure and Cu Kα (weighted mean of Kα1 and Kα2).

```
BePF
1.0
3.5749 0.0000 0.0000
0.0000 5.6223 0.0000
-0.3167 0.0000 3.9095
Be P F
2 2 2
direct
0.0000 0.1988 0.0000 Be
0.0000 0.8012 0.0000 Be
0.2328 0.5000 0.3164 P
0.7672 0.5000 0.6836 P
0.2075 0.0000 0.7983 F
0.7925 0.0000 0.2017 F
```

Main lines, in order of rising 2θ (10° ≤ 2θ ≤ 90°):
2θ 15.76, I = 19.9; 2θ 24.99, I = 16.5; 2θ 27.79, I = 44.4; 2θ 31.83, I = 74.6; 2θ 36.41, I = 81.6; 2θ 38.99, I = 100.0; 2θ 46.46, I = 10.3; 2θ 51.28, I = 13.1; 2θ 57.44, I = 28.4; 2θ 59.74, I = 21.8; 2θ 61.60, I = 38.8; 2θ 61.81, I = 16.9

=====

No. 3
Diffraction record for BePF. The XRD peak list is calculated, not measured: it uses a GGA-PBE-relaxed structure and Cu Kα (weighted mean of Kα1 and Kα2).

```
BePF
1.0
3.8571 0.0000 0.0000
0.0000 5.3647 0.0000
0.0000 0.0000 3.5784
Be P F
2 2 2
direct
0.0000 0.1897 0.2500 Be
0.0000 0.8103 0.7500 Be
0.3127 0.5000 0.0000 P
0.6873 0.5000 0.5000 P
0.2074 0.0000 0.5000 F
0.7926 0.0000 0.0000 F
```

Main lines, in order of rising 2θ (10° ≤ 2θ ≤ 90°):
2θ 16.52, I = 8.6; 2θ 28.50, I = 19.9; 2θ 33.41, I = 35.1; 2θ 38.19, I = 100.0; 2θ 47.12, I = 5.8; 2θ 51.05, I = 9.7; 2θ 54.02, I = 8.8; 2θ 58.99, I = 9.5; 2θ 62.39, I = 13.0; 2θ 62.90, I = 18.6; 2θ 65.01, I = 7.9; 2θ 87.52, I = 7.2

=====

No. 4
Diffraction record for BePbF2. The XRD peak list is calculated, not measured: it uses a GGA-PBE-relaxed structure and Cu Kα (weighted mean of Kα1 and Kα2).

```
BePbF2
1.0
0.0000 3.8431 3.8431
3.8431 0.0000 3.8431
3.8431 3.8431 0.0000
Be Pb F
2 2 4
direct
0.1250 0.1250 0.1250 Be
0.8750 0.8750 0.8750 Be
0.3750 0.3750 0.3750 Pb
0.6250 0.6250 0.6250 Pb
0.0000 0.0000 0.0000 F
0.0000 0.0000 0.5000 F
0.0000 0.5000 0.0000 F
0.5000 0.0000 0.0000 F
```

Main lines, in order of rising 2θ (10° ≤ 2θ ≤ 90°):
2θ 20.01, I = 69.5; 2θ 32.96, I = 100.0; 2θ 38.86, I = 74.3; 2θ 47.31, I = 12.8; 2θ 51.85, I = 19.7; 2θ 58.86, I = 39.2; 2θ 62.82, I = 23.9; 2θ 69.13, I = 16.0; 2θ 72.79, I = 15.4; 2θ 78.74, I = 17.6; 2θ 82.25, I = 8.5; 2θ 88.04, I = 3.6